Record 1
Hf2Zr5In: computed powder diffraction line list (Cu Kα (weighted mean of Kα1 and Kα2)), based on a cell relaxed with PBE.
Kinematic intensities with the Lorentz-polarization factor, no thermal factor.

Principal peaks in the range 2θ = 10–90°, low angle first:
2θ = 33.9°, I 100, (2 1 3); 2θ = 37.0°, I 49, (3 1 0); 2θ = 47.5°, I 10, (3 1 4); 2θ = 58.5°, I 10, (3 1 6); 2θ = 69.6°, I 19, (5 2 3); 2θ = 74.0°, I 14, (6 0 0)

Cell and atoms:
```
data_Hf2Zr5In
_space_group_name_H-M_alt 'I 4/m c m'
_space_group_IT_number 140
_space_group_name_Hall '-I 4 2c'
_cell_length_a 7.692
_cell_length_b 7.692
_cell_length_c 12.422
_cell_angle_alpha 90.00
_cell_angle_beta 90.00
_cell_angle_gamma 90.00
loop_
_atom_site_label
_atom_site_fract_x
_atom_site_fract_y
_atom_site_fract_z
_atom_site_occupancy
Hf1 0.144 0.356 0.000 1
Zr1 0.000 0.000 0.000 1
Zr2 0.151 0.349 0.337 1
In1 0.000 0.000 0.250 1
```


Record 2
Hf3Zr2In3: computed powder diffraction line list (Cu Kα (weighted mean of Kα1 and Kα2)), based on a cell relaxed with PBE.
Kinematic intensities with the Lorentz-polarization factor, no thermal factor.

Principal peaks in the range 2θ = 10–90°, low angle first:
2θ = 34.9°, I 100, (1 1 2); 2θ = 39.6°, I 18, (0 0 4); 2θ = 41.0°, I 32, (2 0 0); 2θ = 58.3°, I 22, (2 0 4); 2θ = 68.8°, I 14, (1 1 6); 2θ = 70.8°, I 25, (3 1 2)

Cell and atoms:
```
data_Hf3Zr2In3
_space_group_name_H-M_alt 'P m m m'
_space_group_IT_number 47
_cell_length_a 4.398
_cell_length_b 4.399
_cell_length_c 9.111
_cell_angle_alpha 90.00
_cell_angle_beta 90.00
_cell_angle_gamma 90.00
loop_
_space_group_symop_operation_xyz
'x,y,z'
'-x,-y,-z'
'-x,-y,z'
'x,y,-z'
'x,-y,-z'
'-x,y,z'
'-x,y,-z'
'x,-y,z'
loop_
_atom_site_label
_atom_site_fract_x
_atom_site_fract_y
_atom_site_fract_z
_atom_site_occupancy
Hf1 0.000 0.000 0.000 1
Hf2 0.000 0.500 0.246 1
Zr1 0.500 0.000 0.249 1
In1 0.000 0.000 0.500 1
In2 0.500 0.500 0.000 1
In3 0.500 0.500 0.500 1
```


Record 3
Hf4ZrIn4: computed powder diffraction line list (Cu Kα (weighted mean of Kα1 and Kα2)), based on a cell relaxed with PBE.
Kinematic intensities with the Lorentz-polarization factor, no thermal factor.

Principal peaks in the range 2θ = 10–90°, low angle first:
2θ = 34.7°, I 100, (3 0 1); 2θ = 40.1°, I 17, (0 0 2); 2θ = 40.3°, I 33, (3 3 0); 2θ = 58.2°, I 22, (3 3 2); 2θ = 69.4°, I 13, (3 0 3); 2θ = 69.7°, I 25, (6 3 1)

Cell and atoms:
```
data_Hf4ZrIn4
_space_group_name_H-M_alt 'I 4/m m m'
_space_group_IT_number 139
_space_group_name_Hall '-I 4 2'
_cell_length_a 9.491
_cell_length_b 9.491
_cell_length_c 4.492
_cell_angle_alpha 90.00
_cell_angle_beta 90.00
_cell_angle_gamma 90.00
loop_
_atom_site_label
_atom_site_fract_x
_atom_site_fract_y
_atom_site_fract_z
_atom_site_occupancy
Hf1 0.168 0.168 0.000 1
Zr1 0.000 0.000 0.500 1
In1 0.000 0.322 0.500 1
```


Record 4
Hf4Zr11In9: computed powder diffraction line list (Cu Kα (weighted mean of Kα1 and Kα2)), based on a cell relaxed with PBE.
Kinematic intensities with the Lorentz-polarization factor, no thermal factor.

Principal peaks in the range 2θ = 10–90°, low angle first:
2θ = 34.5°, I 100, (6 4 0); 2θ = 34.7°, I 85, (0 4 1); 2θ = 39.6°, I 33, (0 8 0); 2θ = 40.4°, I 57, (6 0 1); 2θ = 57.9°, I 32, (6 8 1); 2θ = 70.0°, I 24, (6 4 -2)

Cell and atoms:
```
data_Hf4Zr11In9
_space_group_name_H-M_alt 'C 1 2/m 1'
_space_group_IT_number 12
_cell_length_a 19.027
_cell_length_b 18.213
_cell_length_c 3.141
_cell_angle_alpha 90.00
_cell_angle_beta 90.02
_cell_angle_gamma 90.00
loop_
_space_group_symop_operation_xyz
'x,y,z'
'-x,-y,-z'
'-x,y,-z'
'x,-y,z'
'x+1/2,y+1/2,z'
'-x+1/2,-y+1/2,-z'
'-x+1/2,y+1/2,-z'
'x+1/2,-y+1/2,z'
loop_
_atom_site_label
_atom_site_fract_x
_atom_site_fract_y
_atom_site_fract_z
_atom_site_occupancy
Hf1 0.080 0.139 0.498 1
Zr1 0.000 0.262 0.000 1
Zr2 0.000 0.500 0.000 1
Zr3 0.157 0.000 0.999 1
Zr4 0.167 0.252 0.999 1
Zr5 0.170 0.500 0.000 1
In1 0.000 0.000 0.500 1
In2 0.087 0.381 0.500 1
In3 0.243 0.123 0.500 1
```